Diffraction record for Na2TbPaO6. The PXRD pattern is computed, not measured: it uses a structure optimized by DFT (GGA-PBE) and Cu Kα (weighted mean of Kα1 and Kα2).
Lines closer than 0.1° are merged.

Cell and atoms:
Unit cell a=5.8753 b=6.0140 c=10.2220 alpha=90.00 beta=124.92 gamma=90.00
Space group P2_1/c (No. 14)
Unique sites:
Na 0.2423 0.0385 0.2492 x4
Tb 0.0000 0.0000 0.5000 x2
Pa 0.5000 0.0000 0.0000 x2
O 0.1509 0.1907 0.9466 x4
O 0.2583 0.7068 0.9434 x4
O 0.3649 0.0471 0.7593 x4

Top 8 peaks for 2θ = 10–90°, by angle:
4.199 Å, 2θ 21.2, rel. 100.0, hkl 1 1 -1; 3.007 Å, 2θ 29.7, rel. 18.6, hkl 0 2 0; 2.968 Å, 2θ 30.1, rel. 71.5, hkl 1 1 1; 2.938 Å, 2θ 30.4, rel. 16.4, hkl 2 0 -2; 2.101 Å, 2θ 43.0, rel. 18.9, hkl 2 2 -2; 1.878 Å, 2θ 48.5, rel. 23.7, hkl 2 2 0; 1.728 Å, 2θ 53.0, rel. 16.4, hkl 1 3 1; 1.704 Å, 2θ 53.8, rel. 13.7, hkl 3 1 -1


Diffraction record for Na2PaTcO8. The PXRD pattern is computed, not measured: it uses a structure optimized by DFT (GGA-PBE) and Cu Kα (weighted mean of Kα1 and Kα2).
Lines closer than 0.1° are merged.

Cell and atoms:
Unit cell a=5.3556 b=5.3556 c=6.0355 alpha=90.00 beta=90.00 gamma=120.00
Space group P-3m1 (No. 164)
Unique sites:
Na 0.3333 0.6667 0.4176 x2
Pa 0.0000 0.0000 0.0000 x1
Tc 0.0000 0.0000 0.5000 x1
O 0.1566 0.3132 0.7046 x6
O 0.3333 0.6667 0.0546 x2

Top 8 peaks for 2θ = 10–90°, by angle:
4.638 Å, 2θ 19.1, rel. 100.0, hkl 1 0 0; 3.678 Å, 2θ 24.2, rel. 17.0, hkl 0 1 1; 2.678 Å, 2θ 33.5, rel. 37.3, hkl 1 1 0; 2.529 Å, 2θ 35.5, rel. 35.4, hkl 1 0 2; 2.003 Å, 2θ 45.3, rel. 36.3, hkl 1 1 2; 1.839 Å, 2θ 49.6, rel. 20.8, hkl 0 2 2; 1.753 Å, 2θ 52.2, rel. 12.8, hkl 2 1 0; 1.516 Å, 2θ 61.1, rel. 17.4, hkl 2 1 2


Diffraction record for NaPa2TlO8. The PXRD pattern is computed, not measured: it uses a structure optimized by DFT (GGA-PBE) and Cu Kα (weighted mean of Kα1 and Kα2).
Lines closer than 0.1° are merged.

Cell and atoms:
Unit cell a=5.0301 b=7.2588 c=5.0437 alpha=90.00 beta=90.84 gamma=90.00
Space group P2/m (No. 10)
Unique sites:
Na 0.0000 0.0000 0.0000 x1
Pa 0.5000 0.2442 0.5000 x2
Tl 0.0000 0.5000 0.0000 x1
O 0.2140 0.2599 0.2169 x4
O 0.3104 0.5000 0.6913 x2
O 0.3219 0.0000 0.6799 x2

Top 8 peaks for 2θ = 10–90°, by angle:
5.036 Å, 2θ 17.6, rel. 26.3, hkl 0 0 1; 4.138 Å, 2θ 21.5, rel. 22.1, hkl 1 1 0; 3.587 Å, 2θ 24.8, rel. 50.6, hkl 1 0 -1; 3.536 Å, 2θ 25.2, rel. 46.5, hkl 1 0 1; 2.944 Å, 2θ 30.4, rel. 100.0, hkl 0 2 1; 2.518 Å, 2θ 35.7, rel. 26.8, hkl 2 0 0; 1.922 Å, 2θ 47.3, rel. 38.8, hkl 1 2 -2; 1.906 Å, 2θ 47.7, rel. 34.7, hkl 1 2 2